(1)
Structure and theoretical powder XRD pattern of Zr4Fe3Co (a structure optimized by DFT (GGA-PBE); CuKα).

Cell and atoms:
```
Zr4Fe3Co
1.0
3.179 0.000 0.000
0.000 4.500 0.000
0.000 0.000 8.990
Zr Fe Co
4 3 1
Direct
0.000 0.000 0.000 Zr
0.000 0.000 0.500 Zr
0.000 0.500 0.248 Zr
0.000 0.500 0.752 Zr
0.500 0.000 0.250 Fe
0.500 0.000 0.750 Fe
0.500 0.500 0.000 Fe
0.500 0.500 0.500 Co
```

Peak list (8 most intense, 15 to 90 degrees two-theta, by angle)
d [Å]	2theta	I/Imax
3.180	28.06	6
2.248	40.10	100
1.836	49.66	2
1.590	58.01	16
1.422	65.66	2
1.298	72.86	31
1.124	86.58	8
1.124	86.63	2

(2)
Structure and theoretical powder XRD pattern of Zr2Fe2Co (a structure optimized by DFT (GGA-PBE); CuKα).

Cell and atoms:
```
Zr2Fe2Co
1.0
6.240 0.000 0.000
0.000 6.240 0.000
0.000 0.000 3.994
Zr Fe Co
4 4 2
Direct
0.182 0.318 0.000 Zr
0.318 0.818 0.000 Zr
0.682 0.182 0.000 Zr
0.818 0.682 0.000 Zr
0.125 0.625 0.500 Fe
0.375 0.125 0.500 Fe
0.625 0.875 0.500 Fe
0.875 0.375 0.500 Fe
0.000 0.000 0.500 Co
0.500 0.500 0.500 Co
```

Peak list (8 most intense, 15 to 90 degrees two-theta, by angle)
d [Å]	2theta	I/Imax
2.459	36.55	48
2.288	39.39	100
2.206	40.91	10
1.997	45.42	25
1.973	46.00	27
1.415	66.02	13
1.404	66.63	16
1.202	79.82	11

(3)
Structure and theoretical powder XRD pattern of Zr3Fe8Co (a structure optimized by DFT (GGA-PBE); CuKα).

Cell and atoms:
```
Zr3Fe8Co
1.0
2.449 1.414 8.007
-2.449 1.414 8.007
0.000 -2.828 8.007
Zr Fe Co
3 8 1
Direct
0.000 0.000 0.000 Zr
0.129 0.129 0.129 Zr
0.512 0.512 0.512 Zr
0.065 0.567 0.567 Fe
0.069 0.069 0.567 Fe
0.069 0.567 0.069 Fe
0.317 0.317 0.317 Fe
0.567 0.065 0.567 Fe
0.567 0.069 0.069 Fe
0.567 0.567 0.065 Fe
0.817 0.817 0.817 Fe
0.632 0.632 0.632 Co
```

Peak list (8 most intense, 15 to 90 degrees two-theta, by angle)
d [Å]	2theta	I/Imax
2.668	33.59	2
2.450	36.68	41
2.089	43.30	100
2.000	45.33	29
1.415	66.05	13
1.334	70.63	27
1.225	78.00	22
1.096	89.43	5

(4)
Structure and theoretical powder XRD pattern of Ga4Co (a structure optimized by DFT (GGA-PBE); CuKα).

Cell and atoms:
```
Ga4Co
1.0
5.553 0.000 0.000
0.000 5.553 0.000
0.000 0.000 5.558
Ga Co
8 2
Direct
0.236 0.264 0.250 Ga
0.236 0.264 0.750 Ga
0.264 0.764 0.250 Ga
0.264 0.764 0.750 Ga
0.736 0.236 0.250 Ga
0.736 0.236 0.750 Ga
0.764 0.736 0.250 Ga
0.764 0.736 0.750 Ga
0.000 0.000 0.000 Co
0.500 0.500 0.500 Co
```

Peak list (8 most intense, 15 to 90 degrees two-theta, by angle)
d [Å]	2theta	I/Imax
3.928	22.64	22
2.777	32.23	59
2.268	39.75	10
1.964	46.23	100
1.603	57.48	14
1.389	67.45	15
1.242	76.73	17
1.134	85.68	29

(5)
Structure and theoretical powder XRD pattern of GaCo (a structure optimized by DFT (GGA-PBE); CuKα).

Cell and atoms:
```
GaCo
1.0
4.532 0.000 0.000
0.000 5.131 0.000
0.000 0.000 8.592
Ga Co
8 8
Direct
0.036 0.092 0.222 Ga
0.195 0.408 0.526 Ga
0.305 0.592 0.026 Ga
0.464 0.908 0.722 Ga
0.536 0.408 0.778 Ga
0.695 0.092 0.474 Ga
0.805 0.908 0.974 Ga
0.964 0.592 0.278 Ga
0.033 0.655 0.768 Co
0.185 0.900 0.476 Co
0.315 0.100 0.976 Co
0.467 0.345 0.268 Co
0.533 0.845 0.232 Co
0.685 0.600 0.524 Co
0.815 0.400 0.024 Co
0.967 0.155 0.732 Co
```

Peak list (8 most intense, 15 to 90 degrees two-theta, by angle)
d [Å]	2theta	I/Imax
2.190	41.21	26
2.161	41.80	67
2.148	42.07	48
2.004	45.24	70
1.981	45.80	100
1.761	51.93	22
1.302	72.63	17
1.113	87.65	13

(6)
Structure and theoretical powder XRD pattern of Ga4Co (a structure optimized by DFT (GGA-PBE); CuKα).

Cell and atoms:
```
Ga4Co
1.0
6.853 0.000 0.000
0.000 3.961 0.000
-2.293 0.000 6.305
Ga Co
8 2
Direct
0.124 0.000 0.373 Ga
0.129 0.500 0.887 Ga
0.371 0.000 0.113 Ga
0.376 0.500 0.627 Ga
0.624 0.500 0.373 Ga
0.629 0.000 0.887 Ga
0.871 0.500 0.113 Ga
0.876 0.000 0.627 Ga
0.000 0.500 0.500 Co
0.500 0.000 0.500 Co
```

Peak list (8 most intense, 15 to 90 degrees two-theta, by angle)
d [Å]	2theta	I/Imax
2.776	32.25	100
1.979	45.85	88
1.946	46.67	82
1.612	57.16	19
1.388	67.49	26
1.250	76.18	16
1.143	84.85	14
1.137	85.40	18

(7)
Structure and theoretical powder XRD pattern of GdGa2Co (a structure optimized by DFT (GGA-PBE); CuKα).

Cell and atoms:
```
GdGa2Co
1.0
4.000 0.000 0.000
0.000 17.891 0.000
0.000 0.000 4.107
Gd Ga Co
4 8 4
Direct
0.000 0.142 0.000 Gd
0.000 0.358 0.500 Gd
0.000 0.642 0.500 Gd
0.000 0.858 0.000 Gd
0.000 0.000 0.501 Ga
0.000 0.500 0.001 Ga
0.500 0.000 0.001 Ga
0.500 0.208 0.500 Ga
0.500 0.292 0.000 Ga
0.500 0.500 0.501 Ga
0.500 0.708 0.000 Ga
0.500 0.792 0.500 Ga
0.500 0.074 0.501 Co
0.500 0.426 0.001 Co
0.500 0.574 0.001 Co
0.500 0.926 0.501 Co
```

Peak list (8 most intense, 15 to 90 degrees two-theta, by angle)
d [Å]	2theta	I/Imax
2.982	29.97	36
2.829	31.62	19
2.583	34.73	100
2.170	41.62	39
2.053	44.10	26
2.000	45.35	24
1.471	63.23	22
1.415	66.05	19

(8)
Structure and theoretical powder XRD pattern of Gd2Ga9Co3 (a structure optimized by DFT (GGA-PBE); CuKα).

Cell and atoms:
```
Gd2Ga9Co3
1.0
6.385 -3.709 0.000
6.385 3.709 0.000
0.000 0.000 9.460
Gd Ga Co
4 18 6
Direct
0.003 0.669 0.750 Gd
0.331 0.997 0.750 Gd
0.669 0.003 0.250 Gd
0.997 0.331 0.250 Gd
0.001 0.666 0.071 Ga
0.001 0.666 0.429 Ga
0.122 0.878 0.250 Ga
0.334 0.666 0.556 Ga
0.334 0.666 0.944 Ga
0.334 0.999 0.071 Ga
0.334 0.999 0.429 Ga
0.337 0.451 0.250 Ga
0.451 0.337 0.750 Ga
0.549 0.663 0.250 Ga
0.663 0.549 0.750 Ga
0.666 0.001 0.571 Ga
0.666 0.001 0.929 Ga
0.666 0.334 0.056 Ga
0.666 0.334 0.444 Ga
0.878 0.122 0.750 Ga
0.999 0.334 0.571 Ga
0.999 0.334 0.929 Ga
0.000 0.000 0.000 Co
0.000 0.000 0.500 Co
0.329 0.329 0.000 Co
0.329 0.329 0.500 Co
0.671 0.671 0.000 Co
0.671 0.671 0.500 Co
```

Peak list (8 most intense, 15 to 90 degrees two-theta, by angle)
d [Å]	2theta	I/Imax
2.399	37.48	100
2.365	38.05	17
2.344	38.41	14
2.138	42.27	46
2.128	42.47	23
1.280	74.06	11
1.278	74.19	11
1.275	74.42	11

Repeat the third record exactly.
Structure and theoretical powder XRD pattern of Zr3Fe8Co (a structure optimized by DFT (GGA-PBE); CuKα).

Cell and atoms:
```
Zr3Fe8Co
1.0
2.449 1.414 8.007
-2.449 1.414 8.007
0.000 -2.828 8.007
Zr Fe Co
3 8 1
Direct
0.000 0.000 0.000 Zr
0.129 0.129 0.129 Zr
0.512 0.512 0.512 Zr
0.065 0.567 0.567 Fe
0.069 0.069 0.567 Fe
0.069 0.567 0.069 Fe
0.317 0.317 0.317 Fe
0.567 0.065 0.567 Fe
0.567 0.069 0.069 Fe
0.567 0.567 0.065 Fe
0.817 0.817 0.817 Fe
0.632 0.632 0.632 Co
```

Peak list (8 most intense, 15 to 90 degrees two-theta, by angle)
d [Å]	2theta	I/Imax
2.668	33.59	2
2.450	36.68	41
2.089	43.30	100
2.000	45.33	29
1.415	66.05	13
1.334	70.63	27
1.225	78.00	22
1.096	89.43	5